For EuTl2Cd, a structure optimized by DFT (GGA-PBE) gives the simulated X-ray powder pattern in this record (Cu Kα (λ = 1.5418 Å)).

Crystal structure
Lattice parameters (Å, degrees): 7.7219 7.7219 7.7219 90.00 90.00 90.00
Space group Fm-3m (No. 225)
One atom of each set of equivalent atoms:
Eu  0.0000  0.0000  0.0000 [4 per cell]
Tl  0.2500  0.2500  0.2500 [8 per cell]
Cd  0.0000  0.0000  0.5000 [4 per cell]

Top 10 peaks for 15 to 90 degrees two-theta, most intense first:
32.8°, intensity 1000, (2 2 0)
58.6°, intensity 383, (4 2 2)
47.1°, intensity 184, (4 0 0)
78.3°, intensity 166, (6 2 0)
68.8°, intensity 119, (4 4 0)
23.0°, intensity 45, (2 0 0)
87.5°, intensity 43, (4 4 4)
53.0°, intensity 22, (4 2 0)
40.5°, intensity 15, (2 2 2)
73.6°, intensity 11, (6 0 0)


For Eu2ZnCd, a structure optimized by DFT (GGA-PBE) gives the simulated X-ray powder pattern in this record (Cu Kα (λ = 1.5418 Å)).

Crystal structure
Lattice parameters (Å, degrees): 7.8049 7.8049 7.8049 90.00 90.00 90.00
Space group Fm-3m (No. 225)
One atom of each set of equivalent atoms:
Eu  0.2500  0.2500  0.2500 [8 per cell]
Zn  0.0000  0.0000  0.0000 [4 per cell]
Cd  0.0000  0.0000  0.5000 [4 per cell]

Top 10 peaks for 15 to 90 degrees two-theta, most intense first:
32.4°, intensity 1000, (2 2 0)
57.9°, intensity 373, (4 2 2)
46.5°, intensity 181, (4 0 0)
77.3°, intensity 159, (6 2 0)
67.9°, intensity 114, (4 4 0)
22.8°, intensity 68, (2 0 0)
86.4°, intensity 41, (4 4 4)
52.4°, intensity 32, (4 2 0)
40.0°, intensity 22, (2 2 2)
19.7°, intensity 18, (1 1 1)


For CdF2, a structure optimized by DFT (GGA-PBE) gives the simulated X-ray powder pattern in this record (Cu Kα (λ = 1.5418 Å)).

Crystal structure
Lattice parameters (Å, degrees): 5.4926 5.4926 5.4926 90.00 90.00 90.00
Space group Fm-3m (No. 225)
One atom of each set of equivalent atoms:
Cd  0.0000  0.0000  0.0000 [4 per cell]
F  0.2500  0.2500  0.2500 [8 per cell]

Top 9 peaks for 15 to 90 degrees two-theta, most intense first:
28.1°, intensity 1000, (1 1 1)
46.8°, intensity 631, (2 2 0)
55.5°, intensity 424, (3 1 1)
32.6°, intensity 215, (2 0 0)
86.9°, intensity 182, (4 2 2)
75.4°, intensity 165, (3 3 1)
68.3°, intensity 90, (4 0 0)
77.8°, intensity 83, (4 2 0)
58.2°, intensity 60, (2 2 2)


For CdF2, a structure optimized by DFT (GGA-PBE) gives the simulated X-ray powder pattern in this record (Cu Kα (λ = 1.5418 Å)).

Crystal structure
Lattice parameters (Å, degrees): 5.9345 3.6292 7.0674 90.00 90.00 90.00
Space group Pnma (No. 62)
One atom of each set of equivalent atoms:
Cd  0.2450  0.2500  0.1078 [4 per cell]
F  0.0166  0.2500  0.8388 [4 per cell]
F  0.1399  0.2500  0.4224 [4 per cell]

Top 10 peaks for 15 to 90 degrees two-theta, most intense first:
31.5°, intensity 1000, (1 1 1)
29.4°, intensity 963, (1 0 2)
41.3°, intensity 657, (2 1 1)
27.6°, intensity 493, (0 1 1)
30.1°, intensity 465, (2 0 0)
45.9°, intensity 415, (0 1 3)
55.9°, intensity 365, (2 1 3)
54.4°, intensity 303, (3 1 1)
53.1°, intensity 285, (3 0 2)
59.3°, intensity 264, (1 2 2)


For GdTi2CdO6F, a structure optimized by DFT (GGA-PBE) gives the simulated X-ray powder pattern in this record (Cu Kα (λ = 1.5418 Å)).

Crystal structure
Lattice parameters (Å, degrees): 7.1352 7.4016 10.2007 90.00 90.00 90.00
Space group Imma (No. 74)
One atom of each set of equivalent atoms:
Gd  0.0000  0.0000  0.0000 [4 per cell]
Ti  0.0000  0.0000  0.5000 [4 per cell]
Ti  0.2500  0.2500  0.2500 [4 per cell]
Cd  0.2500  0.2500  0.7500 [4 per cell]
O  0.0000  0.2500  0.1661 [4 per cell]
O  0.0000  0.2500  0.5765 [4 per cell]
O  0.2079  0.0509  0.3770 [16 per cell]
F  0.0000  0.2500  0.8773 [4 per cell]

Top 10 peaks for 15 to 90 degrees two-theta, most intense first:
29.8°, intensity 1000, (0 2 2)
30.6°, intensity 941, (2 0 2)
50.4°, intensity 636, (2 2 4)
60.4°, intensity 380, (2 0 6)
15.2°, intensity 362, (1 0 1)
34.9°, intensity 345, (2 2 0)
59.1°, intensity 273, (2 4 2)
38.1°, intensity 171, (1 2 3)
35.2°, intensity 168, (0 0 4)
49.2°, intensity 166, (0 4 0)


For CdH5N2F3, a structure optimized by DFT (GGA-PBE) gives the simulated X-ray powder pattern in this record (Cu Kα (λ = 1.5418 Å)).

Crystal structure
Lattice parameters (Å, degrees): 14.4116 4.4815 6.9811 90.00 90.00 90.00
Space group Pnma (No. 62)
One atom of each set of equivalent atoms:
Cd  0.0422  0.2500  0.1801 [4 per cell]
H  0.1083  0.5606  0.5823 [8 per cell]
H  0.1827  0.5585  0.8794 [8 per cell]
H  0.2437  0.7500  0.7065 [4 per cell]
N  0.1023  0.7500  0.6693 [4 per cell]
N  0.1838  0.7500  0.7913 [4 per cell]
F  0.0362  0.7500  0.1157 [4 per cell]
F  0.1221  0.2500  0.4515 [4 per cell]
F  0.1788  0.2500  0.0124 [4 per cell]

Top 10 peaks for 15 to 90 degrees two-theta, most intense first:
23.6°, intensity 1000, (0 1 1)
27.9°, intensity 473, (4 0 1)
26.7°, intensity 413, (2 1 1)
40.2°, intensity 278, (0 2 0)
41.3°, intensity 222, (4 1 2)
23.4°, intensity 205, (2 1 0)
39.2°, intensity 197, (1 0 3)
31.7°, intensity 191, (3 0 2)
39.7°, intensity 186, (6 0 1)
40.6°, intensity 177, (5 0 2)


For CdHOF, a structure optimized by DFT (GGA-PBE) gives the simulated X-ray powder pattern in this record (Cu Kα (λ = 1.5418 Å)).

Crystal structure
Lattice parameters (Å, degrees): 3.5344 4.8447 5.6280 90.00 90.08 90.00
Space group P2_1 (No. 4)
One atom of each set of equivalent atoms:
Cd  0.2478  0.0000  0.2334 [2 per cell]
H  0.2497  0.9296  0.7724 [2 per cell]
O  0.2518  0.7670  0.8803 [2 per cell]
F  0.2511  0.2252  0.6058 [2 per cell]

Top 10 peaks for 15 to 90 degrees two-theta, most intense first:
24.2°, intensity 1000, (0 1 1)
31.3°, intensity 639, (1 1 0)
48.3°, intensity 452, (1 2 -1)
45.2°, intensity 389, (1 1 -2)
29.9°, intensity 384, (1 0 -1)
31.8°, intensity 243, (0 0 2)
57.9°, intensity 175, (2 1 -1)
49.7°, intensity 161, (0 2 2)
52.3°, intensity 124, (0 1 3)
51.7°, intensity 111, (2 0 0)


For CdSn2H12O6F6, a structure optimized by DFT (GGA-PBE) gives the simulated X-ray powder pattern in this record (Cu Kα (λ = 1.5418 Å)).

Crystal structure
Lattice parameters (Å, degrees): 6.7105 7.0381 7.0642 78.01 79.18 70.34
Space group P-1 (No. 2)
One atom of each set of equivalent atoms:
Cd  0.0000  0.0000  0.0000 [1 per cell]
Sn  0.3447  0.3345  0.3780 [2 per cell]
H  0.0942  0.7851  0.3818 [2 per cell]
H  0.1313  0.7085  0.7324 [2 per cell]
H  0.2619  0.2685  0.9465 [2 per cell]
H  0.2635  0.6150  0.9152 [2 per cell]
H  0.2703  0.8994  0.2970 [2 per cell]
H  0.3632  0.1017  0.8035 [2 per cell]
O  0.1884  0.8196  0.2627 [2 per cell]
O  0.2227  0.7377  0.8123 [2 per cell]
O  0.2265  0.1915  0.8612 [2 per cell]
F  0.0235  0.3141  0.4140 [2 per cell]
F  0.3158  0.4091  0.0756 [2 per cell]
F  0.4234  0.0267  0.3224 [2 per cell]

Top 10 peaks for 15 to 90 degrees two-theta, most intense first:
18.2°, intensity 1000, (1 1 1)
27.5°, intensity 754, (2 1 0)
20.2°, intensity 696, (0 1 -1)
20.4°, intensity 688, (1 0 -1)
28.3°, intensity 519, (0 2 1)
22.5°, intensity 515, (1 -1 0)
28.0°, intensity 450, (1 0 2)
41.4°, intensity 308, (0 3 0)
38.4°, intensity 300, (2 2 -1)
26.5°, intensity 287, (1 2 0)